No. 1
# Li4Ni5SnO12
Computed PXRD pattern, Cu Kα X-rays. Input: a DFT-relaxed cell (PBE+U, the Materials Project).
Peak positions follow from Bragg's law for the DFT cell and can differ from measured ones.

The 6 most intense peaks (5° ≤ 2θ ≤ 70°), low angle first:
17.7°, 5.020 Å, I 100, (0 0 2); 36.6°, 2.454 Å, I 18, (1 3 -1); 36.9°, 2.437 Å, I 18, (1 3 1); 44.7°, 2.029 Å, I 19, (1 3 -3); 45.4°, 2.000 Å, I 18, (1 3 3); 64.3°, 1.449 Å, I 12, (3 3 1)

Crystal structure
Unit cell a=5.121 b=8.693 c=10.044 alpha=90.00 beta=91.76 gamma=90.00
Space group C2/m (No. 12)
Asymmetric unit:
Li (0.096, 0.248, 0.247) x8
Ni (0.000, 0.162, 0.000) x4
Ni (0.000, 0.336, 0.500) x4
Ni (0.000, 0.500, 0.000) x2
Sn (0.000, 0.000, 0.500) x2
O (0.137, 0.000, 0.903) x4
O (0.150, 0.500, 0.602) x4
O (0.152, 0.180, 0.612) x8
O (0.176, 0.318, 0.898) x8

No. 2
# Li4Ti2Ni3Sn3O16
Computed PXRD pattern, Cu Kα X-rays. Input: a DFT-relaxed cell (PBE+U, the Materials Project).
Peak positions follow from Bragg's law for the DFT cell and can differ from measured ones.

The 6 most intense peaks (5° ≤ 2θ ≤ 70°), low angle first:
18.4°, 4.812 Å, I 100, (0 0 2); 19.1°, 4.646 Å, I 33, (1 1 -1); 19.4°, 4.577 Å, I 35, (1 1 1); 35.2°, 2.548 Å, I 35, (2 2 -1); 35.6°, 2.524 Å, I 48, (4 0 -1); 44.1°, 2.053 Å, I 38, (4 0 -3)

Crystal structure
Unit cell a=10.370 b=6.100 c=9.632 alpha=90.00 beta=92.13 gamma=90.00
Space group Cm (No. 8)
Asymmetric unit:
Li (0.000, 0.000, 0.000) x2
Li (0.008, 0.000, 0.489) x2
Li (0.198, 0.500, 0.099) x2
Li (0.354, 0.000, 0.587) x2
Ti (0.197, 0.500, 0.495) x2
Ti (0.379, 0.000, 0.003) x2
Ni (0.350, 0.500, 0.773) x2
Ni (0.438, 0.242, 0.275) x4
Sn (0.106, 0.253, 0.776) x4
Sn (0.190, 0.000, 0.275) x2
O (0.006, 0.000, 0.187) x2
O (0.008, 0.500, 0.140) x2
O (0.014, 0.000, 0.676) x2
O (0.033, 0.500, 0.647) x2
O (0.097, 0.247, 0.392) x4
O (0.184, 0.000, 0.903) x2
O (0.194, 0.500, 0.891) x2
O (0.256, 0.277, 0.636) x4
O (0.289, 0.222, 0.150) x4
O (0.340, 0.500, 0.398) x2
O (0.369, 0.000, 0.378) x2
O (0.438, 0.241, 0.898) x4

No. 3
# Li4V3Ni3Sn2O16
Computed PXRD pattern, Cu Kα X-rays. Input: a DFT-relaxed cell (PBE+U, the Materials Project).
Peak positions follow from Bragg's law for the DFT cell and can differ from measured ones.

The 6 most intense peaks (5° ≤ 2θ ≤ 70°), low angle first:
19.6°, 4.532 Å, I 100, (1 0 -1); 19.7°, 4.506 Å, I 65, (1 0 1); 32.7°, 2.737 Å, I 41, (-1 1 3); 35.2°, 2.550 Å, I 51, (1 1 -2); 35.7°, 2.517 Å, I 76, (-1 2 2); 62.8°, 1.481 Å, I 34, (2 2 0)

Crystal structure
Unit cell a=5.867 b=5.923 c=9.790 alpha=90.83 beta=90.02 gamma=119.67
Space group P1 (No. 1)
Asymmetric unit:
Li (0.000, 0.000, 0.000) x1
Li (0.004, 0.003, 0.504) x1
Li (0.333, 0.660, 0.410) x1
Li (0.662, 0.317, 0.899) x1
V (0.175, 0.344, 0.728) x1
V (0.350, 0.179, 0.223) x1
V (0.819, 0.171, 0.228) x1
Ni (0.169, 0.822, 0.723) x1
Ni (0.658, 0.821, 0.724) x1
Ni (0.833, 0.657, 0.222) x1
Sn (0.339, 0.671, 0.000) x1
Sn (0.674, 0.342, 0.509) x1
O (0.008, 0.012, 0.810) x1
O (0.009, 0.019, 0.313) x1
O (0.030, 0.495, 0.851) x1
O (0.167, 0.327, 0.117) x1
O (0.175, 0.854, 0.114) x1
O (0.320, 0.634, 0.615) x1
O (0.328, 0.175, 0.614) x1
O (0.470, 0.493, 0.851) x1
O (0.480, 0.951, 0.844) x1
O (0.506, 0.463, 0.344) x1
O (0.519, 0.029, 0.349) x1
O (0.661, 0.309, 0.109) x1
O (0.685, 0.850, 0.113) x1
O (0.847, 0.692, 0.608) x1
O (0.853, 0.176, 0.615) x1
O (0.964, 0.467, 0.346) x1